No. 1
Diffraction record for BaGaAg2. The powder diffractogram is calculated, not measured: it uses a GGA-PBE-relaxed structure and a wavelength of 1.5418 Å.
Kinematic intensities with the Lorentz-polarization factor, no thermal factor.

Atomic structure:
Lattice parameters (Å, degrees): 6.163 12.784 6.001 90.00 118.13 90.00
Space group C2/c (No. 15)
Symmetry-distinct sites (fractional):
Ba (0.000, 0.120, 0.250) [4 per cell]
Ga (0.000, 0.239, 0.750) [4 per cell]
Ag (0.118, 0.400, 0.085) [8 per cell]

Main lines, sorted by position (10 to 90 degrees two-theta):
h k l	d_spacing	2theta	I (rel.)
1 3 -1	3.300	27.0	24
0 4 0	3.196	27.9	39
1 1 1	3.037	29.4	24
1 1 -2	2.921	30.6	79
2 2 -1	2.773	32.3	79
2 0 0	2.718	33.0	22
1 3 1	2.521	35.6	100
1 3 -2	2.453	36.6	18
1 5 -2	1.946	46.7	27
0 2 3	1.701	53.9	23

=====

No. 2
Diffraction record for BaGa2Ag4. The powder diffractogram is calculated, not measured: it uses a GGA-PBE-relaxed structure and a wavelength of 1.5418 Å.
Kinematic intensities with the Lorentz-polarization factor, no thermal factor.

Atomic structure:
Lattice parameters (Å, degrees): 18.147 4.527 7.685 90.00 90.00 90.00
Space group Pnma (No. 62)
Symmetry-distinct sites (fractional):
Ba (0.110, 0.250, 0.003) [4 per cell]
Ga (0.039, 0.750, 0.310) [4 per cell]
Ga (0.245, 0.250, 0.518) [4 per cell]
Ag (0.041, 0.750, 0.680) [4 per cell]
Ag (0.101, 0.250, 0.498) [4 per cell]
Ag (0.191, 0.750, 0.332) [4 per cell]
Ag (0.200, 0.750, 0.701) [4 per cell]

Main lines, sorted by position (10 to 90 degrees two-theta):
h k l	d_spacing	2theta	I (rel.)
1 0 1	7.077	12.5	27
5 0 1	3.280	27.2	16
4 0 2	2.932	30.5	22
2 1 2	2.788	32.1	100
6 1 0	2.515	35.7	73
6 0 2	2.377	37.9	18
0 2 0	2.263	39.8	47
1 1 3	2.213	40.8	27
8 0 2	1.953	46.5	17
7 1 3	1.690	54.3	19

=====

No. 3
Diffraction record for BaGaAg. The powder diffractogram is calculated, not measured: it uses a GGA-PBE-relaxed structure and a wavelength of 1.5418 Å.
Kinematic intensities with the Lorentz-polarization factor, no thermal factor.

Atomic structure:
Lattice parameters (Å, degrees): 7.100 7.100 7.100 90.00 90.00 90.00
Space group P2_13 (No. 198)
Symmetry-distinct sites (fractional):
Ba (0.129, 0.129, 0.129) [4 per cell]
Ga (0.169, 0.331, 0.669) [4 per cell]
Ag (0.088, 0.588, 0.912) [4 per cell]

Main lines, sorted by position (10 to 90 degrees two-theta):
h k l	d_spacing	2theta	I (rel.)
2 0 1	3.175	28.1	100
2 1 1	2.899	30.8	97
2 2 1	2.367	38.0	17
3 1 1	2.141	42.2	20
3 2 1	1.898	47.9	60
4 0 0	1.775	51.5	16
4 1 0	1.722	53.2	16
3 3 1	1.629	56.5	15
4 1 2	1.549	59.7	19
5 2 0	1.318	71.6	22

=====

No. 4
Diffraction record for Ba2Ga5Ag. The powder diffractogram is calculated, not measured: it uses a GGA-PBE-relaxed structure and a wavelength of 1.5418 Å.
Kinematic intensities with the Lorentz-polarization factor, no thermal factor.

Atomic structure:
Lattice parameters (Å, degrees): 4.447 19.759 9.516 90.00 90.00 90.00
Space group Cmcm (No. 63)
Symmetry-distinct sites (fractional):
Ba (0.000, 0.000, 0.000) [4 per cell]
Ba (0.000, 0.213, 0.250) [4 per cell]
Ga (0.000, 0.171, 0.616) [8 per cell]
Ga (0.000, 0.362, 0.507) [8 per cell]
Ga (0.000, 0.422, 0.250) [4 per cell]
Ag (0.000, 0.432, 0.750) [4 per cell]

Main lines, sorted by position (10 to 90 degrees two-theta):
h k l	d_spacing	2theta	I (rel.)
1 1 2	3.206	27.8	31
1 5 0	2.954	30.3	100
1 3 2	2.914	30.7	96
0 6 2	2.708	33.1	49
1 1 3	2.561	35.0	28
0 0 4	2.379	37.8	23
2 0 0	2.223	40.6	47
0 8 2	2.192	41.2	30
2 6 2	1.718	53.3	25
1 9 4	1.517	61.1	23

=====

Repeat the first record exactly.
Diffraction record for BaGaAg2. The powder diffractogram is calculated, not measured: it uses a GGA-PBE-relaxed structure and a wavelength of 1.5418 Å.
Kinematic intensities with the Lorentz-polarization factor, no thermal factor.

Atomic structure:
Lattice parameters (Å, degrees): 6.163 12.784 6.001 90.00 118.13 90.00
Space group C2/c (No. 15)
Symmetry-distinct sites (fractional):
Ba (0.000, 0.120, 0.250) [4 per cell]
Ga (0.000, 0.239, 0.750) [4 per cell]
Ag (0.118, 0.400, 0.085) [8 per cell]

Main lines, sorted by position (10 to 90 degrees two-theta):
h k l	d_spacing	2theta	I (rel.)
1 3 -1	3.300	27.0	24
0 4 0	3.196	27.9	39
1 1 1	3.037	29.4	24
1 1 -2	2.921	30.6	79
2 2 -1	2.773	32.3	79
2 0 0	2.718	33.0	22
1 3 1	2.521	35.6	100
1 3 -2	2.453	36.6	18
1 5 -2	1.946	46.7	27
0 2 3	1.701	53.9	23